Computed X-ray powder pattern
Compound: Tl4CdI6
Radiation: Cu Kα X-rays
Structure: the PBE geometry in Alexandria
Neutral-atom scattering factors, no anomalous dispersion.

Largest 10 diffraction maxima, low angle first, 2θ from 15° to 90°:
| Position (°2θ) | d/Å | I (rel.) | h k l |
| --- | --- | --- | --- |
| 26.8 | 3.321 | 8 | 2 2 0 |
| 27.9 | 3.199 | 100 | 2 1 2 |
| 30.1 | 2.970 | 46 | 3 1 0 |
| 36.4 | 2.468 | 16 | 0 0 4 |
| 43.1 | 2.100 | 10 | 4 2 0 |
| 43.8 | 2.069 | 15 | 4 1 2 |
| 47.9 | 1.898 | 19 | 3 1 4 |
| 55.9 | 1.645 | 14 | 5 2 2 |
| 60.4 | 1.532 | 12 | 2 1 6 |
| 80.2 | 1.197 | 7 | 5 2 6 |

Unit cell a=9.3932 b=9.3932 c=9.8726 alpha=90.00 beta=90.00 gamma=90.00
Fractional coordinates of all 22 atoms:
Tl1 0.1568 0.3432 0.2500
Tl2 0.1568 0.3432 0.7500
Tl3 0.3432 0.8432 0.2500
Tl4 0.3432 0.8432 0.7500
Tl5 0.6568 0.1568 0.2500
Tl6 0.6568 0.1568 0.7500
Tl7 0.8432 0.6568 0.2500
Tl8 0.8432 0.6568 0.7500
Cd1 0.0000 0.0000 0.0000
Cd2 0.5000 0.5000 0.5000
I1 0.0000 0.0000 0.2924
I2 0.0000 0.0000 0.7076
I3 0.1307 0.6904 0.0000
I4 0.1904 0.6307 0.5000
I5 0.3096 0.1307 0.0000
I6 0.3693 0.1904 0.5000
I7 0.5000 0.5000 0.2076
I8 0.5000 0.5000 0.7924
I9 0.6307 0.8096 0.5000
I10 0.6904 0.8693 0.0000
I11 0.8096 0.3693 0.5000
I12 0.8693 0.3096 0.0000